The following is a simulated X-ray powder pattern of Sr3Li6Nb2O11. It was derived from a DFT-relaxed cell (PBE, Alexandria), using a wavelength of 1.5418 Å.

Cell and atoms:
```
data_Sr3Li6Nb2O11
_cell_length_a 10.704
_cell_length_b 8.449
_cell_length_c 5.879
_cell_angle_alpha 90.00
_cell_angle_beta 90.00
_cell_angle_gamma 90.00
_space_group_name_H-M_alt 'P m m a'
_space_group_IT_number 51
loop_
_space_group_symop_operation_xyz
'x,y,z'
'-x,-y,-z'
'-x+1/2,-y,z'
'x+1/2,y,-z'
'x+1/2,-y,-z'
'-x+1/2,y,z'
'-x,y,-z'
'x,-y,z'
loop_
_atom_site_label
_atom_site_fract_x
_atom_site_fract_y
_atom_site_fract_z
Sr1 0.000 0.237 0.000
Sr2 0.250 0.500 0.118
Li1 0.000 0.145 0.500
Li2 0.250 0.185 0.280
Li3 0.250 0.354 0.649
Nb1 0.000 0.500 0.500
Nb2 0.250 0.000 0.764
O1 0.060 0.000 0.752
O2 0.108 0.500 0.782
O3 0.111 0.326 0.366
O4 0.250 0.000 0.444
O5 0.250 0.199 0.931
```

Peak list (10 most intense, 10° ≤ 2θ ≤ 90°, in order of falling intensity)
d 2.888, 31.0°, I 100
d 4.399, 20.2°, I 77
d 2.111, 42.8°, I 59
d 3.584, 24.8°, I 57
d 2.676, 33.5°, I 46
d 2.576, 34.8°, I 41
d 3.316, 26.9°, I 39
d 3.431, 26.0°, I 36
d 1.778, 51.4°, I 23
d 1.658, 55.4°, I 21